No. 1
For CeZn2CdPt2, a structure optimized by DFT (GGA-PBE) gives the theoretical powder X-ray diffraction pattern in this record (Cu Kα (λ = 1.5418 Å)).
No peak broadening, texture or thermal motion is included.

Main lines, sorted by position (2θ = 10–90°):
d_spacing	two_theta	I_rel
3.343	26.67	497
2.528	35.51	1000
2.227	40.51	860
1.854	49.15	172
1.671	54.95	282
1.338	70.35	224
1.336	70.46	265
1.285	73.70	145

Atomic structure:
```
CeZn2CdPt2
1.0
4.4531 0.0000 0.0000
-2.2266 3.8565 0.0000
0.0000 0.0000 6.6967
Ce Zn Cd Pt
1 2 1 2
direct
0.0000 0.0000 0.0000
0.3333 0.6667 0.3060
0.6667 0.3333 0.6940
0.0000 0.0000 0.5000
0.3333 0.6667 0.7326
0.6667 0.3333 0.2674
```



No. 2
For CePuCd, a structure optimized by DFT (GGA-PBE) gives the theoretical powder X-ray diffraction pattern in this record (Cu Kα (λ = 1.5418 Å)).
No peak broadening, texture or thermal motion is included.

Main lines, sorted by position (2θ = 10–90°):
d_spacing	two_theta	I_rel
2.909	30.74	686
2.572	34.89	1000
2.517	35.68	962
2.508	35.80	468
1.900	47.88	405
1.620	56.82	233
1.460	63.73	187
1.397	66.99	301

Atomic structure:
```
CePuCd
1.0
1.6638 -8.9859 0.0000
1.6638 8.9859 0.0000
0.0000 0.0000 5.0169
Ce Pu Cd
2 2 2
direct
0.1232 0.8768 0.7500
0.8768 0.1232 0.2500
0.2074 0.7926 0.2500
0.7926 0.2074 0.7500
0.4564 0.5436 0.7500
0.5436 0.4564 0.2500
```



No. 3
For Ce2CdRh3, a structure optimized by DFT (GGA-PBE) gives the theoretical powder X-ray diffraction pattern in this record (Cu Kα (λ = 1.5418 Å)).
No peak broadening, texture or thermal motion is included.

Main lines, sorted by position (2θ = 10–90°):
d_spacing	two_theta	I_rel
4.560	19.46	114
3.889	22.87	130
2.959	30.20	206
2.633	34.05	115
2.280	39.52	1000
1.679	54.66	118
1.612	57.13	128
1.316	71.69	225

Atomic structure:
```
Ce2CdRh3
1.0
0.0000 6.4493 6.4493
6.4493 0.0000 6.4493
6.4493 6.4493 0.0000
Ce Cd Rh
8 4 12
direct
0.1838 0.7721 0.7721
0.2279 0.2279 0.2279
0.2279 0.2279 0.8162
0.2279 0.8162 0.2279
0.7721 0.1838 0.7721
0.7721 0.7721 0.1838
0.7721 0.7721 0.7721
0.8162 0.2279 0.2279
0.0000 0.5000 0.5000
0.5000 0.0000 0.5000
0.5000 0.5000 0.0000
0.5000 0.5000 0.5000
0.1247 0.1247 0.6253
0.1247 0.6253 0.1247
0.1247 0.6253 0.6253
0.3747 0.3747 0.8753
0.3747 0.8753 0.3747
0.3747 0.8753 0.8753
0.6253 0.1247 0.1247
0.6253 0.1247 0.6253
0.6253 0.6253 0.1247
0.8753 0.3747 0.3747
0.8753 0.3747 0.8753
0.8753 0.8753 0.3747
```



No. 4
For Ce8CdRu6, a structure optimized by DFT (GGA-PBE) gives the theoretical powder X-ray diffraction pattern in this record (Cu Kα (λ = 1.5418 Å)).
No peak broadening, texture or thermal motion is included.

Main lines, sorted by position (2θ = 10–90°):
d_spacing	two_theta	I_rel
3.127	28.54	197
2.947	30.33	1000
2.553	35.16	772
2.451	36.67	320
2.144	42.14	251
2.084	43.43	175
1.804	50.58	196
1.203	79.73	200

Atomic structure:
```
Ce8CdRu6
1.0
10.2035 0.0000 0.0000
-5.1018 8.8365 0.0000
0.0000 0.0000 3.9585
Ce Cd Ru
8 1 6
direct
0.0495 0.3269 0.2652
0.2774 0.9505 0.2652
0.3269 0.2774 0.7348
0.3333 0.6667 0.7554
0.6667 0.3333 0.2446
0.6731 0.7226 0.2652
0.7226 0.0495 0.7348
0.9505 0.6731 0.7348
0.0000 0.0000 0.0000
0.0886 0.6228 0.2492
0.3772 0.4658 0.2492
0.4658 0.0886 0.7508
0.5342 0.9114 0.2492
0.6228 0.5342 0.7508
0.9114 0.3772 0.7508
```



No. 5
For CeCdSnSb, a structure optimized by DFT (GGA-PBE) gives the theoretical powder X-ray diffraction pattern in this record (Cu Kα (λ = 1.5418 Å)).
No peak broadening, texture or thermal motion is included.

Main lines, sorted by position (2θ = 10–90°):
d_spacing	two_theta	I_rel
2.702	33.16	1000
2.480	36.22	197
2.367	38.02	172
2.198	41.06	140
1.712	53.51	127
1.471	63.21	153
1.423	65.62	137
1.351	69.60	115

Atomic structure:
```
CeCdSnSb
1.0
4.3965 0.0000 0.0000
0.0000 4.7339 0.0000
0.0000 0.0000 4.9607
Ce Cd Sn Sb
1 1 1 1
direct
0.0000 0.0000 0.0000
0.0000 0.5000 0.5000
0.5000 0.0000 0.5000
0.5000 0.5000 0.0000
```



No. 6
For CeScCd6, a structure optimized by DFT (GGA-PBE) gives the theoretical powder X-ray diffraction pattern in this record (Cu Kα (λ = 1.5418 Å)).
No peak broadening, texture or thermal motion is included.

Main lines, sorted by position (2θ = 10–90°):
d_spacing	two_theta	I_rel
2.985	29.94	149
2.712	33.03	172
2.689	33.32	127
2.544	35.28	1000
2.433	36.95	293
2.369	37.98	247
1.811	50.40	104
1.425	65.48	218

Atomic structure:
```
CeScCd6
1.0
4.8650 0.0000 0.0000
0.0000 3.5743 5.4241
0.0000 -3.5743 5.4241
Ce Sc Cd
1 1 6
direct
0.0000 0.0000 0.0000
0.5000 0.2713 0.2713
0.0000 0.4538 0.4538
0.0000 0.5114 0.9498
0.0000 0.9498 0.5114
0.5000 0.3272 0.7564
0.5000 0.7564 0.3272
0.5000 0.8059 0.8059
```



No. 7
For CeSc4Cd5, a structure optimized by DFT (GGA-PBE) gives the theoretical powder X-ray diffraction pattern in this record (Cu Kα (λ = 1.5418 Å)).
No peak broadening, texture or thermal motion is included.

Main lines, sorted by position (2θ = 10–90°):
d_spacing	two_theta	I_rel
3.393	26.26	96
2.807	31.88	94
2.586	34.68	1000
2.399	37.48	460
1.998	45.40	74
1.697	54.05	152
1.535	60.28	123
1.419	65.83	285

Atomic structure:
```
CeSc4Cd5
1.0
3.3932 0.0000 0.0000
0.0000 3.3932 0.0000
0.0000 0.0000 19.9783
Ce Sc Cd
1 4 5
direct
0.0000 0.0000 0.0000
0.0000 0.0000 0.2143
0.0000 0.0000 0.4051
0.0000 0.0000 0.5949
0.0000 0.0000 0.7857
0.5000 0.5000 0.1183
0.5000 0.5000 0.3102
0.5000 0.5000 0.5000
0.5000 0.5000 0.6898
0.5000 0.5000 0.8817
```



No. 8
For CeSmCd, a structure optimized by DFT (GGA-PBE) gives the theoretical powder X-ray diffraction pattern in this record (Cu Kα (λ = 1.5418 Å)).
No peak broadening, texture or thermal motion is included.

Main lines, sorted by position (2θ = 10–90°):
d_spacing	two_theta	I_rel
2.887	30.97	262
2.752	32.54	286
2.672	33.54	1000
1.992	45.54	180
1.622	56.75	139
1.573	58.70	197
1.507	61.54	90
1.336	70.49	96

Atomic structure:
```
CeSmCd
1.0
1.8011 -8.6611 0.0000
1.8011 8.6611 0.0000
0.0000 0.0000 5.5038
Ce Sm Cd
2 2 2
direct
0.2325 0.7675 0.7500
0.7675 0.2325 0.2500
0.0870 0.9130 0.2500
0.9130 0.0870 0.7500
0.4283 0.5717 0.2500
0.5717 0.4283 0.7500
```



No. 9
For Ce2SmCd8, a structure optimized by DFT (GGA-PBE) gives the theoretical powder X-ray diffraction pattern in this record (Cu Kα (λ = 1.5418 Å)).
No peak broadening, texture or thermal motion is included.

Main lines, sorted by position (2θ = 10–90°):
d_spacing	two_theta	I_rel
2.756	32.49	875
2.738	32.71	1000
2.687	33.35	401
2.529	35.49	721
2.475	36.30	576
2.456	36.58	247
1.437	64.91	264
1.406	66.49	255

Atomic structure:
```
Ce2SmCd8
1.0
4.2367 -7.9536 0.0000
4.2367 7.9536 0.0000
-3.4051 0.0000 4.1573
Ce Sm Cd
2 1 8
direct
0.1908 0.8092 0.0000
0.8092 0.1908 0.0000
0.5000 0.5000 0.5000
0.0011 0.0011 0.7528
0.1477 0.3991 0.7727
0.2994 0.7006 0.5000
0.3991 0.1477 0.7727
0.6009 0.8523 0.2273
0.7006 0.2994 0.5000
0.8523 0.6009 0.2273
0.9989 0.9989 0.2472
```



No. 10
For Ce2SmCd2Sn2, a structure optimized by DFT (GGA-PBE) gives the theoretical powder X-ray diffraction pattern in this record (Cu Kα (λ = 1.5418 Å)).
No peak broadening, texture or thermal motion is included.

Main lines, sorted by position (2θ = 10–90°):
d_spacing	two_theta	I_rel
2.884	31.01	1000
2.394	37.57	690
1.842	49.48	271
1.806	50.53	162
1.460	63.74	252
1.382	67.79	121
1.235	77.23	92
1.106	88.41	107

Atomic structure:
```
Ce2SmCd2Sn2
1.0
2.3943 1.3823 9.3638
-2.3943 1.3823 9.3638
0.0000 -2.7647 9.3638
Ce Sm Cd Sn
2 1 2 2
direct
0.1461 0.1461 0.1461
0.8539 0.8539 0.8539
0.0000 0.0000 0.0000
0.4218 0.4218 0.4218
0.5782 0.5782 0.5782
0.2709 0.2709 0.2709
0.7291 0.7291 0.7291
```



No. 11
For CeCd4Sn, a structure optimized by DFT (GGA-PBE) gives the theoretical powder X-ray diffraction pattern in this record (Cu Kα (λ = 1.5418 Å)).
No peak broadening, texture or thermal motion is included.

Main lines, sorted by position (2θ = 10–90°):
d_spacing	two_theta	I_rel
2.994	29.84	304
2.553	35.15	1000
2.445	36.76	362
1.729	52.97	124
1.630	56.46	333
1.497	61.99	281
1.277	74.29	128
1.103	88.73	217

Atomic structure:
```
CeCd4Sn
1.0
0.0000 4.2343 4.2343
4.2343 0.0000 4.2343
4.2343 4.2343 0.0000
Ce Cd Sn
1 4 1
direct
0.0000 0.0000 0.0000
0.1251 0.6250 0.6250
0.6250 0.1251 0.6250
0.6250 0.6250 0.1251
0.6250 0.6250 0.6250
0.2500 0.2500 0.2500
```



No. 12
For Ce2Cd3Sn3, a structure optimized by DFT (GGA-PBE) gives the theoretical powder X-ray diffraction pattern in this record (Cu Kα (λ = 1.5418 Å)).
No peak broadening, texture or thermal motion is included.

Main lines, sorted by position (2θ = 10–90°):
d_spacing	two_theta	I_rel
2.698	33.21	1000
2.422	37.12	186
2.340	38.48	168
2.256	39.96	149
1.683	54.54	123
1.446	64.45	146
1.410	66.28	135
1.373	68.31	120

Atomic structure:
```
Ce2Cd3Sn3
1.0
4.6791 0.0000 0.0000
0.0000 4.8435 0.0000
0.0000 0.0000 9.0241
Ce Cd Sn
2 3 3
direct
0.0000 0.0000 0.2439
0.0000 0.0000 0.7561
0.0000 0.5000 0.5000
0.5000 0.5000 0.2569
0.5000 0.5000 0.7431
0.0000 0.5000 0.0000
0.5000 0.0000 0.0000
0.5000 0.0000 0.5000
```



No. 13
For Ce3Cd2Sn, a structure optimized by DFT (GGA-PBE) gives the theoretical powder X-ray diffraction pattern in this record (Cu Kα (λ = 1.5418 Å)).
No peak broadening, texture or thermal motion is included.

Main lines, sorted by position (2θ = 10–90°):
d_spacing	two_theta	I_rel
2.720	32.93	1000
2.398	37.50	176
2.335	38.55	325
1.673	54.88	231
1.439	64.79	139
1.413	66.15	130
1.411	66.26	130
1.360	69.06	115

Atomic structure:
```
Ce3Cd2Sn
1.0
2.3330 -7.0125 0.0000
2.3330 7.0125 0.0000
0.0000 0.0000 4.7962
Ce Cd Sn
3 2 1
direct
0.0000 0.0000 0.0000
0.3318 0.6682 0.0000
0.6682 0.3318 0.0000
0.1670 0.8330 0.5000
0.8330 0.1670 0.5000
0.5000 0.5000 0.5000
```



No. 14
For Sr5CeCd6, a structure optimized by DFT (GGA-PBE) gives the theoretical powder X-ray diffraction pattern in this record (Cu Kα (λ = 1.5418 Å)).
No peak broadening, texture or thermal motion is included.

Main lines, sorted by position (2θ = 10–90°):
d_spacing	two_theta	I_rel
2.845	31.44	514
2.835	31.56	1000
2.012	45.07	184
1.998	45.40	84
1.641	56.05	368
1.635	56.27	172
1.418	65.89	105
1.272	74.62	154

Atomic structure:
```
Sr5CeCd6
1.0
8.9955 -3.9956 0.0000
8.9955 3.9956 0.0000
-1.7972 0.0000 5.3989
Sr Ce Cd
5 1 6
direct
0.0000 0.0000 0.0000
0.1636 0.1636 0.6634
0.3290 0.3290 0.3297
0.6710 0.6710 0.6703
0.8364 0.8364 0.3366
0.5000 0.5000 0.0000
0.1012 0.5764 0.8399
0.2728 0.7272 0.5000
0.4236 0.8988 0.1601
0.5764 0.1012 0.8399
0.7272 0.2728 0.5000
0.8988 0.4236 0.1601
```